1.
Starting from a PBE-relaxed structure, the PXRD pattern of Tl8As was computed for Cu Kα (weighted mean of Kα1 and Kα2).

Unit cell a=10.304 b=8.452 c=6.950 alpha=83.37 beta=54.57 gamma=42.06
Atoms (fractional coordinates):
Tl  0.147  0.853  0.147
Tl  0.174  0.174  0.826
Tl  0.181  0.508  0.492
Tl  0.492  0.819  0.181
Tl  0.508  0.181  0.819
Tl  0.819  0.492  0.508
Tl  0.826  0.826  0.174
Tl  0.853  0.147  0.853
As  0.500  0.500  0.500

Top 10 peaks for 2θ from 15° to 90°, low angle first:
2θ 31.7, 2.819 Å, I 100; 2θ 33.4, 2.680 Å, I 25; 2θ 34.4, 2.605 Å, I 22; 2θ 42.1, 2.148 Å, I 11; 2θ 48.8, 1.868 Å, I 15; 2θ 54.8, 1.676 Å, I 9; 2θ 55.5, 1.657 Å, I 10; 2θ 58.7, 1.573 Å, I 14; 2θ 60.0, 1.542 Å, I 17; 2θ 66.3, 1.409 Å, I 10

***

2.
Starting from a PBE-relaxed structure, the PXRD pattern of Tl5As2 was computed for Cu Kα (weighted mean of Kα1 and Kα2).

Unit cell a=8.848 b=8.848 c=7.338 alpha=92.02 beta=92.02 gamma=47.16
Atoms (fractional coordinates):
Tl  0.050  0.950  0.750
Tl  0.147  0.299  0.294
Tl  0.252  0.550  0.043
Tl  0.299  0.147  0.794
Tl  0.450  0.748  0.457
Tl  0.550  0.252  0.543
Tl  0.701  0.853  0.206
Tl  0.748  0.450  0.957
Tl  0.853  0.701  0.706
Tl  0.950  0.050  0.250
As  0.138  0.667  0.456
As  0.333  0.862  0.044
As  0.667  0.138  0.956
As  0.862  0.333  0.544

Top 10 peaks for 2θ from 15° to 90°, low angle first:
2θ 27.8, 3.213 Å, I 42; 2θ 28.0, 3.187 Å, I 44; 2θ 30.3, 2.948 Å, I 100; 2θ 32.3, 2.771 Å, I 48; 2θ 33.2, 2.701 Å, I 20; 2θ 33.6, 2.667 Å, I 71; 2θ 35.2, 2.546 Å, I 31; 2θ 38.5, 2.336 Å, I 19; 2θ 39.2, 2.299 Å, I 21; 2θ 51.4, 1.779 Å, I 21

***

3.
Starting from a PBE-relaxed structure, the PXRD pattern of TlAs was computed for Cu Kα (weighted mean of Kα1 and Kα2).

Unit cell a=3.634 b=3.634 c=9.689 alpha=90.00 beta=90.00 gamma=120.00
Atoms (fractional coordinates):
Tl  0.333  0.667  0.147
Tl  0.667  0.333  0.853
As  0.333  0.667  0.574
As  0.667  0.333  0.426

Top 10 peaks for 2θ from 15° to 90°, low angle first:
2θ 27.6, 3.230 Å, I 23; 2θ 28.4, 3.147 Å, I 32; 2θ 29.9, 2.993 Å, I 35; 2θ 34.0, 2.639 Å, I 100; 2θ 40.0, 2.254 Å, I 13; 2θ 50.2, 1.817 Å, I 27; 2θ 55.7, 1.650 Å, I 25; 2θ 58.3, 1.584 Å, I 18; 2θ 62.0, 1.497 Å, I 18; 2θ 83.7, 1.155 Å, I 16

***

4.
Starting from a PBE-relaxed structure, the PXRD pattern of YTl2As was computed for Cu Kα (weighted mean of Kα1 and Kα2).

Unit cell a=5.472 b=5.472 c=5.547 alpha=108.21 beta=108.21 gamma=44.25
Atoms (fractional coordinates):
Y  0.000  0.000  0.000
Tl  0.200  0.200  0.622
Tl  0.432  0.432  0.401
As  0.711  0.711  0.002

Top 10 peaks for 2θ from 15° to 90°, low angle first:
2θ 20.5, 4.323 Å, I 17; 2θ 23.5, 3.784 Å, I 32; 2θ 29.3, 3.048 Å, I 25; 2θ 31.0, 2.886 Å, I 100; 2θ 33.1, 2.707 Å, I 30; 2θ 35.2, 2.551 Å, I 73; 2θ 35.7, 2.516 Å, I 20; 2θ 37.7, 2.386 Å, I 27; 2θ 39.2, 2.298 Å, I 19; 2θ 43.9, 2.061 Å, I 27

***

5.
Starting from a PBE-relaxed structure, the PXRD pattern of TlZn2As was computed for Cu Kα (weighted mean of Kα1 and Kα2).

Unit cell a=4.150 b=4.150 c=6.704 alpha=108.10 beta=108.10 gamma=59.80
Atoms (fractional coordinates):
Tl  0.000  0.000  0.000
Zn  0.508  0.508  0.514
Zn  0.769  0.769  0.302
As  0.211  0.211  0.620

Top 10 peaks for 2θ from 15° to 90°, low angle first:
2θ 25.3, 3.527 Å, I 30; 2θ 26.6, 3.354 Å, I 20; 2θ 28.5, 3.129 Å, I 15; 2θ 31.4, 2.852 Å, I 100; 2θ 34.6, 2.595 Å, I 34; 2θ 43.6, 2.075 Å, I 34; 2θ 43.8, 2.069 Å, I 17; 2θ 46.2, 1.965 Å, I 19; 2θ 54.8, 1.676 Å, I 14; 2θ 55.2, 1.664 Å, I 14

***

6.
Starting from a PBE-relaxed structure, the PXRD pattern of Tl4Zn5As6 was computed for Cu Kα (weighted mean of Kα1 and Kα2).

Unit cell a=9.976 b=9.976 c=17.713 alpha=90.00 beta=90.00 gamma=155.53
Atoms (fractional coordinates):
Tl  0.012  0.988  0.620
Tl  0.012  0.988  0.880
Tl  0.189  0.811  0.575
Tl  0.189  0.811  0.925
Tl  0.811  0.189  0.075
Tl  0.811  0.189  0.425
Tl  0.988  0.012  0.120
Tl  0.988  0.012  0.380
Zn  0.122  0.878  0.250
Zn  0.266  0.734  0.250
Zn  0.372  0.628  0.619
Zn  0.372  0.628  0.881
Zn  0.423  0.577  0.250
Zn  0.577  0.423  0.750
Zn  0.628  0.372  0.119
Zn  0.628  0.372  0.381
Zn  0.734  0.266  0.750
Zn  0.878  0.122  0.750
As  0.148  0.852  0.750
As  0.199  0.801  0.127
As  0.199  0.801  0.373
As  0.438  0.562  0.005
As  0.438  0.562  0.495
As  0.448  0.552  0.750
As  0.552  0.448  0.250
As  0.562  0.438  0.505
As  0.562  0.438  0.995
As  0.801  0.199  0.627
As  0.801  0.199  0.873
As  0.852  0.148  0.250

Top 10 peaks for 2θ from 15° to 90°, low angle first:
2θ 26.3, 3.385 Å, I 43; 2θ 29.6, 3.021 Å, I 59; 2θ 30.3, 2.952 Å, I 20; 2θ 31.2, 2.866 Å, I 100; 2θ 32.4, 2.767 Å, I 30; 2θ 34.2, 2.620 Å, I 31; 2θ 37.4, 2.406 Å, I 55; 2θ 42.8, 2.114 Å, I 43; 2θ 44.0, 2.058 Å, I 19; 2θ 68.9, 1.363 Å, I 21

***

- What is the formula in the sixth record?
  Tl4Zn5As6

***

Repeat the second record exactly.
Starting from a PBE-relaxed structure, the PXRD pattern of Tl5As2 was computed for Cu Kα (weighted mean of Kα1 and Kα2).

Unit cell a=8.848 b=8.848 c=7.338 alpha=92.02 beta=92.02 gamma=47.16
Atoms (fractional coordinates):
Tl  0.050  0.950  0.750
Tl  0.147  0.299  0.294
Tl  0.252  0.550  0.043
Tl  0.299  0.147  0.794
Tl  0.450  0.748  0.457
Tl  0.550  0.252  0.543
Tl  0.701  0.853  0.206
Tl  0.748  0.450  0.957
Tl  0.853  0.701  0.706
Tl  0.950  0.050  0.250
As  0.138  0.667  0.456
As  0.333  0.862  0.044
As  0.667  0.138  0.956
As  0.862  0.333  0.544

Top 10 peaks for 2θ from 15° to 90°, low angle first:
2θ 27.8, 3.213 Å, I 42; 2θ 28.0, 3.187 Å, I 44; 2θ 30.3, 2.948 Å, I 100; 2θ 32.3, 2.771 Å, I 48; 2θ 33.2, 2.701 Å, I 20; 2θ 33.6, 2.667 Å, I 71; 2θ 35.2, 2.546 Å, I 31; 2θ 38.5, 2.336 Å, I 19; 2θ 39.2, 2.299 Å, I 21; 2θ 51.4, 1.779 Å, I 21